Structure and theoretical XRD peak list of Sr2YCoCu2O7 (a PBE+U-relaxed structure; Cu Kα, 1.54184 Å).
Kinematic intensities with the Lorentz-polarization factor, no thermal factor.

The 10 most intense peaks (10 to 90 degrees two-theta), in order of rising 2θ:
Position (°2θ), I/Imax
32.70, 100
32.86, 93
38.76, 21
38.91, 17
46.78, 22
46.98, 10
47.35, 19
58.29, 11
58.42, 19
62.78, 11

Structural model:
```
Sr2YCoCu2O7
1.0
3.839 -11.606 0.000
3.839 11.606 0.000
-3.830 0.000 3.884
Sr Y Co Cu O
4 2 2 4 14
Direct
0.140 0.336 0.476
0.336 0.140 0.476
0.664 0.860 0.524
0.860 0.664 0.524
0.000 0.500 0.500
0.500 0.000 0.500
0.311 0.311 0.000
0.689 0.689 0.000
0.073 0.429 0.000
0.429 0.073 0.000
0.571 0.927 0.000
0.927 0.571 0.000
0.156 0.303 0.999
0.186 0.814 0.500
0.189 0.811 0.000
0.303 0.156 0.999
0.313 0.687 0.000
0.314 0.686 0.500
0.329 0.329 0.658
0.671 0.671 0.342
0.686 0.314 0.500
0.687 0.313 0.000
0.697 0.844 0.001
0.811 0.189 0.000
0.814 0.186 0.500
0.844 0.697 0.001
```